# 1
GdClO: computed XRD peak list (Cu Kα (λ = 1.5418 Å)), based on a PBE-relaxed structure.

Top 10 peaks for 2θ from 10° to 90°, sorted by position:
2θ/deg  I_rel
13.1  40.5
26.0  92.5
31.9  70.2
34.9  100.0
41.9  22.4
45.7  35.5
52.1  24.4
53.4  27.7
58.8  42.7
59.5  16.0

Cell and atoms:
```
data_GdClO
_chemical_formula_sum 'Gd2 Cl2 O2'
_space_group_name_H-M_alt 'P 1'
_space_group_IT_number 1
_cell_length_a 3.970
_cell_length_b 3.970
_cell_length_c 6.748
_cell_angle_alpha 90.00
_cell_angle_beta 90.00
_cell_angle_gamma 90.00
loop_
_space_group_symop_operation_xyz
'x,y,z'
loop_
_atom_site_label
_atom_site_fract_x
_atom_site_fract_y
_atom_site_fract_z
Gd1 0.250 0.250 0.171
Gd2 0.750 0.750 0.829
Cl1 0.250 0.250 0.627
Cl2 0.750 0.750 0.373
O1 0.250 0.750 0.000
O2 0.750 0.250 0.000
```

---

# 2
Mg6SiSnO8: computed XRD peak list (Cu Kα (λ = 1.5418 Å)), based on a PBE-relaxed structure.

Top 10 peaks for 2θ from 10° to 90°, sorted by position:
2θ/deg  I_rel
19.8  43.2
22.2  39.2
28.2  37.1
29.9  23.6
34.7  47.3
40.2  100.0
40.4  46.0
58.2  30.4
58.3  56.5
73.2  26.9

Cell and atoms:
```
data_Mg6SiSnO8
_chemical_formula_sum 'Mg6 Si1 Sn1 O8'
_space_group_name_H-M_alt 'P 1'
_space_group_IT_number 1
_cell_length_a 4.487
_cell_length_b 4.487
_cell_length_c 8.930
_cell_angle_alpha 90.00
_cell_angle_beta 90.00
_cell_angle_gamma 90.00
loop_
_space_group_symop_operation_xyz
'x,y,z'
loop_
_atom_site_label
_atom_site_fract_x
_atom_site_fract_y
_atom_site_fract_z
Mg1 0.000 0.000 0.000
Mg2 0.000 0.500 0.236
Mg3 0.000 0.500 0.764
Mg4 0.500 0.000 0.236
Mg5 0.500 0.000 0.764
Mg6 0.500 0.500 0.000
Si1 0.000 0.000 0.500
Sn1 0.500 0.500 0.500
O1 0.000 0.000 0.235
O2 0.000 0.000 0.765
O3 0.000 0.500 0.000
O4 0.000 0.500 0.500
O5 0.500 0.000 0.000
O6 0.500 0.000 0.500
O7 0.500 0.500 0.227
O8 0.500 0.500 0.773
```

---

# 3
Mg2AlMo3S8: computed XRD peak list (Cu Kα (λ = 1.5418 Å)), based on a PBE-relaxed structure.

Top 10 peaks for 2θ from 10° to 90°, sorted by position:
2θ/deg  I_rel
14.6  46.1
14.8  60.3
28.2  81.9
34.3  100.0
45.0  27.6
45.2  19.3
49.1  46.0
49.5  46.0
51.6  16.5
61.3  15.1

Cell and atoms:
```
data_Mg2AlMo3S8
_chemical_formula_sum 'Mg2 Al1 Mo3 S8'
_space_group_name_H-M_alt 'P 1'
_space_group_IT_number 1
_cell_length_a 7.371
_cell_length_b 7.371
_cell_length_c 7.371
_cell_angle_alpha 60.46
_cell_angle_beta 60.46
_cell_angle_gamma 60.46
loop_
_space_group_symop_operation_xyz
'x,y,z'
loop_
_atom_site_label
_atom_site_fract_x
_atom_site_fract_y
_atom_site_fract_z
Mg1 0.124 0.124 0.124
Mg2 0.876 0.876 0.876
Al1 0.500 0.500 0.500
Mo1 0.000 0.500 0.500
Mo2 0.500 0.000 0.500
Mo3 0.500 0.500 0.000
S1 0.261 0.261 0.261
S2 0.266 0.266 0.715
S3 0.266 0.715 0.266
S4 0.285 0.734 0.734
S5 0.715 0.266 0.266
S6 0.734 0.285 0.734
S7 0.734 0.734 0.285
S8 0.739 0.739 0.739
```

---

# 4
Li3Nb3TeO12: computed XRD peak list (Cu Kα (λ = 1.5418 Å)), based on a PBE-relaxed structure.

Top 10 peaks for 2θ from 10° to 90°, sorted by position:
2θ/deg  I_rel
23.4  50.6
23.5  100.0
32.4  35.7
32.6  17.5
34.3  11.4
34.4  22.2
42.1  12.2
48.2  17.9
53.0  13.0
61.5  10.7

Cell and atoms:
```
data_Li3Nb3TeO12
_chemical_formula_sum 'Li3 Nb3 Te1 O12'
_space_group_name_H-M_alt 'P 1'
_space_group_IT_number 1
_cell_length_a 5.208
_cell_length_b 5.509
_cell_length_c 7.641
_cell_angle_alpha 94.68
_cell_angle_beta 90.23
_cell_angle_gamma 90.01
loop_
_space_group_symop_operation_xyz
'x,y,z'
loop_
_atom_site_label
_atom_site_fract_x
_atom_site_fract_y
_atom_site_fract_z
Li1 0.000 0.000 0.000
Li2 0.002 0.009 0.494
Li3 0.500 0.508 0.998
Nb1 0.001 0.566 0.214
Nb2 0.498 0.068 0.223
Nb3 0.511 0.083 0.716
Te1 0.003 0.582 0.707
O1 0.111 0.602 0.461
O2 0.186 0.895 0.760
O3 0.196 0.284 0.135
O4 0.307 0.406 0.769
O5 0.309 0.785 0.132
O6 0.373 0.090 0.455
O7 0.621 0.105 0.950
O8 0.686 0.407 0.239
O9 0.717 0.795 0.640
O10 0.819 0.286 0.636
O11 0.825 0.914 0.255
O12 0.872 0.610 0.945
```

---

# 5
La2Sn4Ru: computed XRD peak list (Cu Kα (λ = 1.5418 Å)), based on a PBE-relaxed structure.

Top 10 peaks for 2θ from 10° to 90°, sorted by position:
2θ/deg  I_rel
31.0  100.0
31.3  14.4
32.2  10.7
36.8  15.5
37.6  12.7
37.8  25.6
38.4  24.6
55.0  17.5
64.1  13.0
64.9  13.2

Cell and atoms:
```
data_La2Sn4Ru
_chemical_formula_sum 'La2 Sn4 Ru1'
_space_group_name_H-M_alt 'P 1'
_space_group_IT_number 1
_cell_length_a 4.690
_cell_length_b 4.759
_cell_length_c 8.890
_cell_angle_alpha 105.38
_cell_angle_beta 90.01
_cell_angle_gamma 90.00
loop_
_space_group_symop_operation_xyz
'x,y,z'
loop_
_atom_site_label
_atom_site_fract_x
_atom_site_fract_y
_atom_site_fract_z
La1 0.000 0.000 0.000
La2 0.499 0.206 0.411
Sn1 0.000 0.361 0.728
Sn2 0.000 0.643 0.292
Sn3 0.500 0.529 0.056
Sn4 0.500 0.863 0.727
Ru1 0.001 0.793 0.594
```